No. 1
The following is a simulated X-ray powder pattern of Ba2SrCrO6. It was derived from a structure optimized by DFT (GGA+U), using Cu Kα, 1.54184 Å.
Intensities are scaled so that the largest is 100.

Top 10 peaks for 10 to 90 degrees two-theta, in order of rising 2θ:
h k l	d/Å	Position (°2θ)	Rel. int.
2 0 0	4.262	20.84	5.7
2 2 0	3.014	29.64	100.0
2 2 2	2.461	36.51	11.0
4 0 0	2.131	42.42	29.8
4 0 2	1.906	47.71	3.9
4 2 2	1.740	52.60	39.7
4 4 0	1.507	61.54	17.4
6 2 0	1.348	69.78	18.6
4 4 4	1.230	77.60	5.5
6 2 4	1.139	85.18	22.0

Cell and atoms:
```
40
Lattice="8.5243 0.0000 0.0000 0.0000 8.5243 0.0000 0.0000 0.0000 8.5243" Properties=species:S:1:pos:R:3 pbc="T T T"
Ba 2.1311 2.1311 2.1311
Ba 2.1311 2.1311 6.3932
Ba 2.1311 6.3932 2.1311
Ba 2.1311 6.3932 6.3932
Ba 6.3932 2.1311 2.1311
Ba 6.3932 2.1311 6.3932
Ba 6.3932 6.3932 2.1311
Ba 6.3932 6.3932 6.3932
Sr 0.0000 0.0000 0.0000
Sr 0.0000 4.2621 4.2621
Sr 4.2621 0.0000 4.2621
Sr 4.2621 4.2621 0.0000
Cr 0.0000 0.0000 4.2621
Cr 0.0000 4.2621 0.0000
Cr 4.2621 0.0000 0.0000
Cr 4.2621 4.2621 4.2621
O 0.1885 4.4759 6.6798
O 0.1885 8.3105 6.1067
O 0.2138 1.8445 4.4507
O 0.2138 2.4176 8.3357
O 1.8445 4.4507 0.2138
O 1.8445 8.3357 4.0484
O 2.4176 4.4507 4.0484
O 2.4176 8.3357 0.2138
O 4.0484 1.8445 8.3357
O 4.0484 2.4176 4.4507
O 4.0736 4.4759 6.1067
O 4.0736 8.3105 6.6798
O 4.4507 0.2138 1.8445
O 4.4507 4.0484 2.4176
O 4.4759 6.1067 4.0736
O 4.4759 6.6798 0.1885
O 6.1067 0.1885 8.3105
O 6.1067 4.0736 4.4759
O 6.6798 0.1885 4.4759
O 6.6798 4.0736 8.3105
O 8.3105 6.1067 0.1885
O 8.3105 6.6798 4.0736
O 8.3357 0.2138 2.4176
O 8.3357 4.0484 1.8445
```


No. 2
The following is a simulated X-ray powder pattern of MnOF. It was derived from a structure optimized by DFT (GGA+U), using Cu Kα, 1.54184 Å.
Intensities are scaled so that the largest is 100.

Top 10 peaks for 10 to 90 degrees two-theta, in order of rising 2θ:
h k l	d/Å	Position (°2θ)	Rel. int.
1 -1 0	3.641	24.45	100.0
1 1 0	3.527	25.25	90.5
-1 1 2	2.993	29.86	85.7
1 -1 2	2.955	30.25	84.5
1 1 -2	2.931	30.50	85.2
1 1 2	2.891	30.93	83.2
2 0 -4	1.739	52.64	42.5
-2 2 2	1.724	53.11	54.4
2 0 4	1.708	53.65	69.2
0 2 -6	1.468	63.36	62.0

Cell and atoms:
```
24
Lattice="4.6367 0.0000 0.0000 -0.1822 5.6488 0.0000 -0.1859 -0.0125 10.3089" Properties=species:S:1:pos:R:3 pbc="T T T"
Mn 0.0000 0.0000 0.0000
Mn -0.2598 3.9000 7.8372
Mn 1.9354 1.1610 2.5440
Mn 1.9301 2.6419 5.1569
Mn 1.9961 2.8127 10.2889
Mn 2.1669 1.0771 7.6507
Mn 4.1334 4.0046 2.6059
Mn 4.3203 0.1370 5.1686
O 0.4548 5.4877 3.4598
O 1.0649 1.3574 0.8131
O 1.0448 1.2364 6.0599
O 1.1237 2.6038 8.5544
O 2.9249 1.3440 4.2020
O 3.0413 2.6615 1.7371
O 3.3026 5.4501 6.8955
O 3.3564 4.1295 9.4729
F 0.6847 2.7087 3.4745
F 0.8437 4.2365 0.9622
F 0.7695 4.0016 6.0816
F 0.8863 5.4022 8.7069
F 3.0178 4.1343 4.4010
F 3.1377 5.4155 1.6400
F 3.2648 2.5869 6.7658
F 3.2634 1.2676 9.3392
```


No. 3
The following is a simulated X-ray powder pattern of K4V5CdClO15. It was derived from a structure optimized by DFT (GGA+U), using Cu Kα, 1.54184 Å.
Intensities are scaled so that the largest is 100.

Top 10 peaks for 10 to 90 degrees two-theta, in order of rising 2θ:
h k l	d/Å	Position (°2θ)	Rel. int.
0 0 1	5.511	16.08	45.7
1 2 0	4.138	21.47	25.0
2 0 1	3.543	25.13	31.8
1 2 1	3.309	26.94	100.0
2 2 0	3.271	27.26	18.6
3 1 0	2.926	30.55	58.2
0 0 2	2.756	32.49	28.0
2 4 0	2.069	43.75	17.7
3 1 2	2.006	45.20	24.1
5 1 1	1.724	53.14	11.4

Cell and atoms:
```
26
Lattice="9.2526 0.0000 0.0000 0.0000 9.2526 0.0000 0.0000 0.0000 5.5113" Properties=species:S:1:pos:R:3 pbc="T T T"
K 1.5420 6.2537 0.0000
K 2.9990 1.5420 0.0000
K 6.2537 7.7106 0.0000
K 7.7106 2.9990 0.0000
V 1.3334 3.5534 2.6140
V 3.5534 7.9192 2.6140
V 4.6263 4.6263 2.4422
V 5.6992 1.3334 2.6140
V 7.9192 5.6992 2.6140
Cd 0.0000 0.0000 2.3399
Cl 0.0000 0.0000 4.9552
O 0.0000 4.6263 1.9607
O 1.1162 1.9595 2.0520
O 1.3480 3.5991 4.2833
O 1.9595 8.1365 2.0520
O 2.8549 4.1902 1.9342
O 3.5991 7.9046 4.2833
O 4.1902 6.3977 1.9342
O 4.6263 0.0000 1.9607
O 4.6263 4.6263 4.0646
O 5.0624 2.8549 1.9342
O 5.6535 1.3480 4.2833
O 6.3977 5.0624 1.9342
O 7.2931 1.1162 2.0520
O 7.9046 5.6535 4.2833
O 8.1365 7.2931 2.0520
```


No. 4
The following is a simulated X-ray powder pattern of MgFe2Cl2O2. It was derived from a structure optimized by DFT (GGA+U), using Cu Kα, 1.54184 Å.
Intensities are scaled so that the largest is 100.

Top 10 peaks for 10 to 90 degrees two-theta, in order of rising 2θ:
h k l	d/Å	Position (°2θ)	Rel. int.
0 1 1	3.497	25.47	40.3
0 1 2	2.952	30.28	62.6
1 0 2	2.934	30.46	100.0
1 1 1	2.549	35.21	53.2
0 1 3	2.427	37.04	46.1
1 0 3	2.417	37.19	41.5
0 2 0	1.880	48.43	27.3
2 0 0	1.861	48.93	26.4
1 2 2	1.583	58.30	25.7
1 1 5	1.547	59.78	34.2

Cell and atoms:
```
7
Lattice="3.7227 0.0000 0.0000 0.0000 3.7591 0.0000 0.0000 0.0000 9.5368" Properties=species:S:1:pos:R:3 pbc="T T T"
Mg 0.0000 0.0000 0.0000
Fe 0.0000 0.0000 3.4638
Fe 1.8613 1.8795 1.6870
Cl 0.0000 1.8795 8.1266
Cl 1.8613 0.0000 4.9163
O 0.0000 1.8795 2.4690
O 1.8613 0.0000 0.9146
```


No. 5
The following is a simulated X-ray powder pattern of Fe3OF5. It was derived from a structure optimized by DFT (GGA+U), using Cu Kα, 1.54184 Å.
Intensities are scaled so that the largest is 100.

Top 10 peaks for 10 to 90 degrees two-theta, in order of rising 2θ:
h k l	d/Å	Position (°2θ)	Rel. int.
2 0 -1	3.413	26.11	100.0
1 1 1	2.657	33.74	57.9
2 1 -1	2.327	38.69	20.5
3 1 -3	1.786	51.14	64.1
4 0 -2	1.706	53.71	19.8
0 2 0	1.591	57.97	10.6
4 0 -5	1.526	60.68	9.6
2 2 -1	1.442	64.64	13.4
3 1 -6	1.436	64.95	22.1
4 2 -2	1.164	82.98	9.2

Cell and atoms:
```
18
Lattice="6.8248 0.0000 0.0000 0.0000 3.1818 0.0000 -3.4027 0.0000 10.2402" Properties=species:S:1:pos:R:3 pbc="T T T"
Fe 0.0000 0.0000 0.0000
Fe -0.1781 1.5909 3.5826
Fe 0.0034 0.0000 7.0004
Fe 3.4066 1.5909 0.2167
Fe 3.4950 0.0000 3.6583
Fe 3.4086 1.5909 7.1112
O 3.4117 1.5909 9.1702
O 5.5570 0.0000 3.5826
F -2.0058 0.0000 7.0010
F 0.0447 1.5909 1.5219
F 0.0592 1.5909 5.5802
F 1.9965 0.0000 0.2375
F 1.3056 0.0000 3.5864
F 0.0008 1.5909 8.4310
F 3.3470 1.5909 2.2378
F 2.0111 0.0000 7.0316
F 4.8267 0.0000 0.2714
F 3.3661 1.5909 5.0440
```


No. 6
The following is a simulated X-ray powder pattern of Li4NbFe3O8. It was derived from a structure optimized by DFT (GGA+U), using Cu Kα, 1.54184 Å.
Intensities are scaled so that the largest is 100.

Top 10 peaks for 10 to 90 degrees two-theta, in order of rising 2θ:
h k l	d/Å	Position (°2θ)	Rel. int.
0 1 1	4.366	20.34	54.8
0 1 -1	4.308	20.62	32.9
1 0 -1	4.067	21.85	100.0
1 1 -1	3.307	26.96	26.4
0 2 0	2.878	31.08	46.9
0 1 -2	2.846	31.43	34.0
2 0 0	2.582	34.75	47.7
1 1 2	2.518	35.66	27.8
-1 1 2	2.509	35.78	29.4
0 3 -2	1.649	55.73	31.6

Cell and atoms:
```
16
Lattice="5.1631 0.0000 0.0000 0.0188 5.7513 0.0000 0.0227 0.0896 6.6024" Properties=species:S:1:pos:R:3 pbc="T T T"
Li 0.0000 0.0000 0.0000
Li 0.0183 3.0134 1.6110
Li 2.5933 1.0963 5.0508
Li 2.5927 3.8212 3.3195
Nb 5.1172 0.0985 3.3061
Fe 2.5995 3.9036 0.0320
Fe 2.6921 1.1247 1.4986
Fe 5.0991 3.0567 5.0974
O 0.5416 1.0349 4.8337
O 0.5666 4.0568 3.3149
O 0.5572 0.9962 1.7544
O 0.6920 3.9056 0.0223
O 3.1183 3.0050 5.0509
O 3.1883 3.0097 1.6286
O 3.1977 5.7080 0.0073
O 3.2233 0.1062 3.3288
```


No. 7
The following is a simulated X-ray powder pattern of MgFe8O8F8. It was derived from a structure optimized by DFT (GGA+U), using Cu Kα, 1.54184 Å.
Intensities are scaled so that the largest is 100.

Top 10 peaks for 10 to 90 degrees two-theta, in order of rising 2θ:
h k l	d/Å	Position (°2θ)	Rel. int.
0 2 0	4.919	18.04	20.8
0 2 2	3.542	25.14	84.1
0 2 -2	3.495	25.49	100.0
0 3 0	3.279	27.20	20.4
1 2 0	2.676	33.49	23.7
1 0 2	2.665	33.63	38.2
1 0 -2	2.645	33.89	32.9
1 -2 0	2.599	34.51	36.9
1 -2 2	2.311	38.98	24.0
2 0 0	1.562	59.14	25.4

Cell and atoms:
```
25
Lattice="3.1264 0.0000 0.0000 0.3101 9.8380 0.0000 0.0871 0.1338 10.0691" Properties=species:S:1:pos:R:3 pbc="T T T"
Mg 0.0000 0.0000 0.0000
Fe 1.5106 4.9473 7.6594
Fe 1.3928 0.0871 3.2839
Fe 1.5475 4.9593 2.6942
Fe 1.8720 9.8986 7.2331
Fe 2.9058 6.6418 0.0059
Fe 3.1661 7.2337 4.8412
Fe 3.0594 2.7121 4.8770
Fe 3.1024 3.4228 0.2351
O 1.4479 6.3587 9.0472
O 1.5978 6.4496 4.0875
O 1.4895 1.6593 4.2577
O 1.5390 3.5792 1.2938
O 3.0723 4.0624 8.3973
O 3.1092 5.9735 1.6824
O 3.2529 8.9458 3.8169
O 3.1053 4.1161 3.6753
F 0.0465 0.6780 1.8179
F 1.5183 3.5808 6.0611
F 1.6855 8.2575 6.0283
F 1.6283 1.1196 9.3117
F 1.9878 8.5081 0.5370
F 3.1292 5.9494 6.5519
F 3.0757 1.2251 6.5525
F 3.4684 8.9994 8.3399
```